[1]
Simulated powder X-ray diffraction pattern of UMn2AlH6 for Cu Kα (weighted mean of Kα1 and Kα2), from a PBE-relaxed structure.
Peak positions follow from Bragg's law for the DFT cell and can differ from measured ones.

The 10 most intense peaks (2θ = 15–90°), sorted by position:
| 2θ/deg | I/Imax |
| --- | --- |
| 17.6 | 19 |
| 24.8 | 100 |
| 26.9 | 38 |
| 33.9 | 82 |
| 38.5 | 62 |
| 42.5 | 63 |
| 55.4 | 20 |
| 56.5 | 30 |
| 71.4 | 19 |
| 72.2 | 19 |

Atomic structure:
```
UMn2AlH6
1.0
2.129 1.229 5.050
-2.129 1.229 5.050
0.000 -2.459 5.050
U Mn Al H
1 2 1 6
Direct
0.000 0.000 0.000 U
0.206 0.206 0.206 Mn
0.794 0.794 0.794 Mn
0.500 0.500 0.500 Al
0.066 0.556 0.556 H
0.444 0.444 0.934 H
0.444 0.934 0.444 H
0.556 0.066 0.556 H
0.556 0.556 0.066 H
0.934 0.444 0.444 H
```

[2]
Simulated powder X-ray diffraction pattern of Na3AlH8 for Cu Kα (weighted mean of Kα1 and Kα2), from a PBE-relaxed structure.
Peak positions follow from Bragg's law for the DFT cell and can differ from measured ones.

The 10 most intense peaks (2θ = 15–90°), sorted by position:
| 2θ/deg | I/Imax |
| --- | --- |
| 31.0 | 100 |
| 35.5 | 28 |
| 36.9 | 12 |
| 51.1 | 13 |
| 52.2 | 24 |
| 61.0 | 25 |
| 62.9 | 11 |
| 64.7 | 10 |
| 83.6 | 5 |
| 85.2 | 9 |

Atomic structure:
```
Na3AlH8
1.0
-2.526 2.526 4.872
2.526 -2.526 4.872
2.526 2.526 -4.872
Na Al H
3 1 8
Direct
0.000 0.000 0.000 Na
0.250 0.750 0.500 Na
0.750 0.250 0.500 Na
0.500 0.500 0.000 Al
0.191 0.191 0.592 H
0.191 0.599 0.000 H
0.401 0.401 0.592 H
0.401 0.809 0.000 H
0.599 0.191 0.000 H
0.599 0.599 0.408 H
0.809 0.401 0.000 H
0.809 0.809 0.408 H
```

[3]
Simulated powder X-ray diffraction pattern of Na2AlH6 for Cu Kα (weighted mean of Kα1 and Kα2), from a PBE-relaxed structure.
Peak positions follow from Bragg's law for the DFT cell and can differ from measured ones.

The 10 most intense peaks (2θ = 15–90°), sorted by position:
| 2θ/deg | I/Imax |
| --- | --- |
| 26.8 | 100 |
| 33.8 | 97 |
| 38.3 | 31 |
| 52.0 | 58 |
| 55.2 | 13 |
| 62.4 | 15 |
| 64.5 | 14 |
| 66.3 | 13 |
| 79.3 | 14 |
| 89.9 | 10 |

Atomic structure:
```
Na2AlH6
1.0
4.704 0.000 0.000
0.000 4.704 0.000
0.000 0.000 9.627
Na Al H
4 2 12
Direct
0.000 0.000 0.168 Na
0.000 0.000 0.832 Na
0.500 0.500 0.332 Na
0.500 0.500 0.668 Na
0.000 0.000 0.500 Al
0.500 0.500 0.000 Al
0.180 0.180 0.370 H
0.180 0.180 0.630 H
0.241 0.241 0.000 H
0.259 0.741 0.500 H
0.320 0.680 0.130 H
0.320 0.680 0.870 H
0.680 0.320 0.130 H
0.680 0.320 0.870 H
0.741 0.259 0.500 H
0.759 0.759 0.000 H
0.820 0.820 0.370 H
0.820 0.820 0.630 H
```

[4]
Simulated powder X-ray diffraction pattern of NaAlH for Cu Kα (weighted mean of Kα1 and Kα2), from a PBE-relaxed structure.
Peak positions follow from Bragg's law for the DFT cell and can differ from measured ones.

The 10 most intense peaks (2θ = 15–90°), sorted by position:
| 2θ/deg | I/Imax |
| --- | --- |
| 15.1 | 72 |
| 26.9 | 47 |
| 28.0 | 100 |
| 32.9 | 61 |
| 35.5 | 90 |
| 38.4 | 81 |
| 46.8 | 28 |
| 51.4 | 33 |
| 55.5 | 26 |
| 62.1 | 25 |

Atomic structure:
```
NaAlH
1.0
4.685 0.000 0.000
0.000 4.685 0.000
0.000 0.000 23.451
Na Al H
8 8 8
Direct
0.248 0.252 0.065 Na
0.248 0.748 0.435 Na
0.252 0.248 0.685 Na
0.252 0.752 0.815 Na
0.748 0.248 0.315 Na
0.748 0.752 0.185 Na
0.752 0.252 0.935 Na
0.752 0.748 0.565 Na
0.249 0.250 0.228 Al
0.249 0.750 0.272 Al
0.250 0.249 0.522 Al
0.250 0.751 0.978 Al
0.750 0.249 0.478 Al
0.750 0.751 0.022 Al
0.751 0.250 0.772 Al
0.751 0.750 0.728 Al
0.249 0.250 0.592 H
0.249 0.750 0.908 H
0.250 0.249 0.158 H
0.250 0.751 0.342 H
0.750 0.249 0.842 H
0.750 0.751 0.658 H
0.751 0.250 0.408 H
0.751 0.750 0.092 H
```

[5]
Simulated powder X-ray diffraction pattern of Na2AlH6 for Cu Kα (weighted mean of Kα1 and Kα2), from a PBE-relaxed structure.
Peak positions follow from Bragg's law for the DFT cell and can differ from measured ones.

The 10 most intense peaks (2θ = 15–90°), sorted by position:
| 2θ/deg | I/Imax |
| --- | --- |
| 21.7 | 37 |
| 25.1 | 8 |
| 35.8 | 100 |
| 42.2 | 17 |
| 44.2 | 6 |
| 51.5 | 21 |
| 56.5 | 7 |
| 64.3 | 33 |
| 75.8 | 11 |
| 86.7 | 13 |

Atomic structure:
```
Na2AlH6
1.0
0.000 3.550 3.550
3.550 0.000 3.550
3.550 3.550 0.000
Na Al H
2 1 6
Direct
0.250 0.250 0.250 Na
0.750 0.750 0.750 Na
0.000 0.000 0.000 Al
0.246 0.246 0.754 H
0.246 0.754 0.246 H
0.246 0.754 0.754 H
0.754 0.246 0.246 H
0.754 0.246 0.754 H
0.754 0.754 0.246 H
```

[6]
Simulated powder X-ray diffraction pattern of NaAl2H8 for Cu Kα (weighted mean of Kα1 and Kα2), from a PBE-relaxed structure.
Peak positions follow from Bragg's law for the DFT cell and can differ from measured ones.

The 10 most intense peaks (2θ = 15–90°), sorted by position:
| 2θ/deg | I/Imax |
| --- | --- |
| 16.6 | 35 |
| 22.6 | 28 |
| 29.9 | 11 |
| 32.8 | 11 |
| 33.5 | 21 |
| 34.3 | 100 |
| 42.7 | 20 |
| 55.4 | 27 |
| 60.4 | 18 |
| 72.9 | 20 |

Atomic structure:
```
NaAl2H8
1.0
-2.116 2.116 5.351
2.116 -2.116 5.351
2.116 2.116 -5.351
Na Al H
1 2 8
Direct
0.000 0.000 0.000 Na
0.250 0.750 0.500 Al
0.750 0.250 0.500 Al
0.088 0.574 0.962 H
0.126 0.088 0.514 H
0.388 0.426 0.514 H
0.426 0.912 0.038 H
0.574 0.612 0.486 H
0.612 0.126 0.038 H
0.874 0.388 0.962 H
0.912 0.874 0.486 H
```

[7]
Simulated powder X-ray diffraction pattern of Na5Al3H14 for Cu Kα (weighted mean of Kα1 and Kα2), from a PBE-relaxed structure.
Peak positions follow from Bragg's law for the DFT cell and can differ from measured ones.

The 10 most intense peaks (2θ = 15–90°), sorted by position:
| 2θ/deg | I/Imax |
| --- | --- |
| 32.0 | 100 |
| 34.8 | 8 |
| 35.1 | 21 |
| 38.2 | 26 |
| 52.8 | 21 |
| 55.1 | 8 |
| 61.0 | 15 |
| 65.2 | 16 |
| 67.0 | 8 |
| 86.7 | 7 |

Atomic structure:
```
Na5Al3H14
1.0
6.667 0.000 0.000
0.000 6.667 0.000
0.000 0.000 10.239
Na Al H
10 6 28
Direct
0.000 0.000 0.000 Na
0.212 0.288 0.250 Na
0.212 0.288 0.750 Na
0.288 0.788 0.250 Na
0.288 0.788 0.750 Na
0.500 0.500 0.500 Na
0.712 0.212 0.250 Na
0.712 0.212 0.750 Na
0.788 0.712 0.250 Na
0.788 0.712 0.750 Na
0.000 0.000 0.500 Al
0.000 0.500 0.000 Al
0.000 0.500 0.500 Al
0.500 0.000 0.000 Al
0.500 0.000 0.500 Al
0.500 0.500 0.000 Al
0.000 0.000 0.329 H
0.000 0.000 0.671 H
0.047 0.680 0.118 H
0.047 0.680 0.882 H
0.082 0.248 0.500 H
0.180 0.547 0.382 H
0.180 0.547 0.618 H
0.248 0.918 0.500 H
0.252 0.418 0.000 H
0.320 0.047 0.118 H
0.320 0.047 0.882 H
0.418 0.748 0.000 H
0.453 0.180 0.382 H
0.453 0.180 0.618 H
0.500 0.500 0.171 H
0.500 0.500 0.829 H
0.547 0.820 0.382 H
0.547 0.820 0.618 H
0.582 0.252 0.000 H
0.680 0.953 0.118 H
0.680 0.953 0.882 H
0.748 0.582 0.000 H
0.752 0.082 0.500 H
0.820 0.453 0.382 H
0.820 0.453 0.618 H
0.918 0.752 0.500 H
0.953 0.320 0.118 H
0.953 0.320 0.882 H
```

[8]
Simulated powder X-ray diffraction pattern of Na3AlP2H2O9 for Cu Kα (weighted mean of Kα1 and Kα2), from a PBE-relaxed structure.
Peak positions follow from Bragg's law for the DFT cell and can differ from measured ones.

The 10 most intense peaks (2θ = 15–90°), sorted by position:
| 2θ/deg | I/Imax |
| --- | --- |
| 18.1 | 100 |
| 25.1 | 37 |
| 27.6 | 31 |
| 28.0 | 41 |
| 29.0 | 37 |
| 32.3 | 38 |
| 34.4 | 55 |
| 35.7 | 70 |
| 51.3 | 33 |
| 58.1 | 30 |

Atomic structure:
```
Na3AlP2H2O9
1.0
7.699 -3.560 0.000
7.699 3.560 0.000
-0.862 0.000 7.094
Na Al P H O
6 2 4 4 18
Direct
0.000 0.500 0.500 Na
0.235 0.765 0.000 Na
0.390 0.390 0.292 Na
0.500 0.000 0.500 Na
0.610 0.610 0.708 Na
0.765 0.235 0.000 Na
0.000 0.500 0.000 Al
0.500 0.000 0.000 Al
0.118 0.118 0.708 P
0.377 0.377 0.775 P
0.623 0.623 0.225 P
0.882 0.882 0.292 P
0.060 0.060 0.398 H
0.192 0.192 0.177 H
0.808 0.808 0.823 H
0.940 0.940 0.602 H
0.010 0.651 0.224 O
0.024 0.024 0.758 O
0.118 0.118 0.483 O
0.168 0.527 0.882 O
0.242 0.242 0.106 O
0.334 0.334 0.570 O
0.349 0.990 0.776 O
0.473 0.832 0.118 O
0.477 0.477 0.790 O
0.523 0.523 0.210 O
0.527 0.168 0.882 O
0.651 0.010 0.224 O
0.666 0.666 0.430 O
0.758 0.758 0.894 O
0.832 0.473 0.118 O
0.882 0.882 0.517 O
0.976 0.976 0.242 O
0.990 0.349 0.776 O
```